Structure and computed powder diffraction line list of MgMn2Fe2P4O16 (DFT lattice parameters and positions (GGA+U); a wavelength of 1.5418 Å).

Peak list (8 most intense, 10° ≤ 2θ ≤ 90°, by intensity)
2θ = 29.8°, I = 100; 2θ = 35.1°, I = 77; 2θ = 17.7°, I = 58; 2θ = 35.9°, I = 52; 2θ = 19.9°, I = 45; 2θ = 24.5°, I = 44; 2θ = 24.9°, I = 40; 2θ = 19.5°, I = 37

Structural model:
```
MgMn2Fe2P4O16
1.0
5.0499 0.0000 0.0000
0.0000 6.0008 0.0000
-0.2857 0.0000 10.0398
Mg Mn Fe P O
1 2 2 4 16
direct
0.0000 0.0000 0.0000
0.0087 0.0000 0.6433
0.5036 0.5000 0.7050
0.1359 0.5000 0.2135
0.5845 0.0000 0.1757
0.1568 0.0000 0.3373
0.4744 0.0000 0.8356
0.6928 0.5000 0.0203
0.9571 0.5000 0.5285
0.2468 0.0000 0.4807
0.2628 0.5000 0.5558
0.2862 0.2014 0.2575
0.2862 0.7986 0.2575
0.3419 0.2031 0.7653
0.3419 0.7969 0.7653
0.3890 0.0000 0.9856
0.4074 0.5000 0.0654
0.7249 0.5000 0.8693
0.7794 0.0000 0.8345
0.8140 0.2996 0.5933
0.8140 0.7004 0.5933
0.8543 0.2949 0.0830
0.8543 0.7051 0.0830
0.8583 0.0000 0.3132
0.9280 0.5000 0.3738
```

Structure and computed powder diffraction line list of NaNbSnWO6 (DFT lattice parameters and positions (GGA+U); a wavelength of 1.5418 Å).

Peak list (8 most intense, 10° ≤ 2θ ≤ 90°, by intensity)
2θ = 31.3°, I = 100; 2θ = 55.6°, I = 41; 2θ = 44.8°, I = 33; 2θ = 19.0°, I = 24; 2θ = 22.0°, I = 23; 2θ = 65.2°, I = 20; 2θ = 74.1°, I = 18; 2θ = 36.8°, I = 14

Structural model:
```
NaNbSnWO6
1.0
0.0000 4.0457 4.0457
4.0457 0.0000 4.0457
4.0457 4.0457 0.0000
Na Nb Sn W O
1 1 1 1 6
direct
0.0000 0.0000 0.0000
0.2500 0.2500 0.2500
0.5000 0.5000 0.5000
0.7500 0.7500 0.7500
0.0010 0.0010 0.4990
0.0010 0.4990 0.0010
0.0010 0.4990 0.4990
0.4990 0.0010 0.0010
0.4990 0.0010 0.4990
0.4990 0.4990 0.0010
```

Structure and computed powder diffraction line list of Li4Ti3Co5O16 (DFT lattice parameters and positions (GGA+U); a wavelength of 1.5418 Å).

Peak list (8 most intense, 10° ≤ 2θ ≤ 90°, by intensity)
2θ = 20.1°, I = 100; 2θ = 19.1°, I = 69; 2θ = 37.2°, I = 43; 2θ = 65.2°, I = 35; 2θ = 26.1°, I = 34; 2θ = 36.5°, I = 33; 2θ = 20.3°, I = 32; 2θ = 46.6°, I = 28

Structural model:
```
Li4Ti3Co5O16
1.0
4.9371 -2.9020 0.0000
4.9371 2.9020 0.0000
-0.0590 0.0000 9.3099
Li Ti Co O
4 3 5 16
direct
0.0000 0.0000 0.0000
0.0059 0.0059 0.4956
0.3492 0.3492 0.5990
0.6831 0.6831 0.1063
0.1825 0.1825 0.2820
0.3512 0.8449 0.7827
0.8449 0.3512 0.7827
0.1790 0.6739 0.2858
0.3483 0.3483 0.0155
0.6739 0.1790 0.2858
0.6792 0.6792 0.5099
0.8386 0.8386 0.7806
0.0062 0.0062 0.1874
0.0074 0.0074 0.6840
0.0569 0.4967 0.1515
0.1828 0.1828 0.8939
0.1836 0.6769 0.8922
0.3479 0.8407 0.3919
0.3494 0.3494 0.3927
0.4915 0.4915 0.1615
0.4967 0.0569 0.1515
0.5362 0.5362 0.6494
0.5386 0.9703 0.6479
0.6769 0.1836 0.8922
0.6773 0.6773 0.8969
0.8407 0.3479 0.3919
0.8453 0.8453 0.3864
0.9703 0.5386 0.6479
```

Structure and computed powder diffraction line list of Na3Li3Fe2P2C2O14 (DFT lattice parameters and positions (GGA+U); a wavelength of 1.5418 Å).

Peak list (8 most intense, 10° ≤ 2θ ≤ 90°, by intensity)
2θ = 10.1°, I = 100; 2θ = 26.8°, I = 85; 2θ = 35.2°, I = 44; 2θ = 26.4°, I = 33; 2θ = 20.5°, I = 28; 2θ = 19.8°, I = 27; 2θ = 38.5°, I = 25; 2θ = 33.8°, I = 24

Structural model:
```
Na3Li3Fe2P2C2O14
1.0
6.6659 0.0000 0.0000
0.1807 8.7272 0.0000
0.0556 0.4104 10.1923
Na Li Fe P C O
6 6 4 4 4 28
direct
0.0000 0.0000 0.0000
0.0006 0.4820 0.2494
0.0011 0.9943 0.4981
0.0021 0.4801 0.7441
0.2630 0.6562 0.4948
0.5014 0.4809 0.2471
0.2732 0.6556 0.9953
0.4703 0.4555 0.7559
0.5161 0.0145 0.9974
0.5276 0.0161 0.4888
0.7188 0.8300 0.7492
0.7336 0.8360 0.2450
0.2573 0.0783 0.7658
0.2603 0.0879 0.2635
0.7443 0.3971 0.9782
0.7499 0.3824 0.4899
0.2534 0.3297 0.0172
0.2625 0.3219 0.5228
0.7421 0.1457 0.7280
0.7508 0.1474 0.2279
0.2576 0.7970 0.2220
0.2639 0.7779 0.7403
0.7396 0.6973 0.5094
0.7407 0.7004 0.0103
0.0571 0.4183 0.9740
0.0668 0.4139 0.4849
0.2449 0.6532 0.1975
0.2500 0.8294 0.8581
0.2499 0.8449 0.3410
0.2563 0.3080 0.1694
0.2594 0.8763 0.6398
0.2700 0.1611 0.4633
0.2725 0.1707 0.9567
0.2748 0.3019 0.6759
0.2793 0.8976 0.1250
0.2822 0.6328 0.7219
0.4282 0.4387 0.9710
0.4376 0.4239 0.4719
0.5733 0.0388 0.7842
0.5775 0.0446 0.2841
0.7228 0.1762 0.0768
0.7236 0.1609 0.5753
0.7236 0.8368 0.5488
0.7267 0.8422 0.0430
0.7277 0.3093 0.7825
0.7450 0.5926 0.1034
0.7464 0.6672 0.3858
0.7492 0.5846 0.5980
0.7497 0.6616 0.8887
0.7575 0.3023 0.2955
0.9424 0.0599 0.7645
0.9447 0.0479 0.2539
```

Structure and computed powder diffraction line list of Li3Co2O5 (DFT lattice parameters and positions (GGA+U); a wavelength of 1.5418 Å).

Peak list (8 most intense, 10° ≤ 2θ ≤ 90°, by intensity)
2θ = 18.6°, I = 100; 2θ = 44.3°, I = 55; 2θ = 44.0°, I = 28; 2θ = 36.6°, I = 26; 2θ = 64.0°, I = 22; 2θ = 64.5°, I = 15; 2θ = 36.4°, I = 13; 2θ = 19.8°, I = 13

Structural model:
```
Li3Co2O5
1.0
2.5069 -7.1737 0.0000
2.5069 7.1737 0.0000
-1.6834 0.0000 4.7764
Li Co O
6 4 10
direct
0.0000 0.0000 0.0000
0.0982 0.9018 0.5000
0.3018 0.6982 0.5000
0.5000 0.5000 0.5000
0.6982 0.3018 0.5000
0.9018 0.0982 0.5000
0.1960 0.8040 0.0000
0.4028 0.5972 0.0000
0.5972 0.4028 0.0000
0.8040 0.1960 0.0000
0.0746 0.4626 0.7732
0.1586 0.3672 0.2220
0.2830 0.2830 0.7773
0.3672 0.1586 0.2220
0.4626 0.0746 0.7732
0.5374 0.9254 0.2268
0.6328 0.8414 0.7780
0.7170 0.7170 0.2227
0.8414 0.6328 0.7780
0.9254 0.5374 0.2268
```

Structure and computed powder diffraction line list of MgFe4P12O36 (DFT lattice parameters and positions (GGA+U); a wavelength of 1.5418 Å).

Peak list (8 most intense, 10° ≤ 2θ ≤ 90°, by intensity)
2θ = 22.7°, I = 100; 2θ = 22.9°, I = 34; 2θ = 32.4°, I = 23; 2θ = 32.6°, I = 20; 2θ = 20.3°, I = 17; 2θ = 24.7°, I = 11; 2θ = 30.5°, I = 11; 2θ = 25.3°, I = 10

Structural model:
```
MgFe4P12O36
1.0
8.7225 0.0000 0.0000
-0.0974 8.7238 0.0000
-0.2377 -0.0474 8.7559
Mg Fe P O
1 4 12 36
direct
0.0000 0.0000 0.0000
0.0307 0.6541 0.4209
0.3315 0.8813 0.9213
0.5363 0.3835 0.6329
0.7996 0.1878 0.1706
0.1664 0.3394 0.5750
0.1795 0.2184 0.1102
0.3494 0.0608 0.5836
0.3643 0.8188 0.3332
0.4827 0.3254 0.2285
0.4984 0.5512 0.9672
0.6606 0.6949 0.4688
0.6985 0.8238 0.9571
0.8466 0.9734 0.4756
0.8831 0.2147 0.7234
0.9777 0.7057 0.8151
0.9934 0.4969 0.0873
0.0126 0.6599 0.6559
0.0429 0.1421 0.1859
0.0440 0.6272 0.1908
0.0474 0.2986 0.7067
0.0816 0.8224 0.8965
0.0831 0.4239 0.4478
0.1365 0.3866 0.0539
0.2111 0.1699 0.5184
0.2248 0.1190 0.9775
0.2533 0.7171 0.4166
0.2896 0.9503 0.6971
0.3056 0.4170 0.6468
0.3098 0.2542 0.2332
0.3331 0.8610 0.1708
0.3663 0.6470 0.9168
0.3942 0.9760 0.4289
0.4588 0.4792 0.1310
0.4842 0.1614 0.6320
0.5233 0.3699 0.3900
0.5331 0.7411 0.3418
0.5525 0.4277 0.8609
0.5684 0.9137 0.8936
0.5736 0.2128 0.1403
0.5873 0.6069 0.5959
0.6441 0.6602 0.0217
0.7119 0.8619 0.5348
0.7608 0.3139 0.6553
0.7775 0.0914 0.3736
0.7961 0.6232 0.3940
0.8058 0.9012 0.0741
0.8067 0.7705 0.8170
0.8554 0.4067 0.1305
0.8793 0.1652 0.8883
0.9029 0.0548 0.6323
0.9671 0.5548 0.9155
0.9784 0.8793 0.4202
```

Structure and computed powder diffraction line list of MgCr3Se2S4O24 (DFT lattice parameters and positions (GGA+U); a wavelength of 1.5418 Å).

Peak list (8 most intense, 10° ≤ 2θ ≤ 90°, by intensity)
2θ = 24.2°, I = 100; 2θ = 14.5°, I = 57; 2θ = 24.3°, I = 46; 2θ = 29.2°, I = 21; 2θ = 31.7°, I = 18; 2θ = 32.7°, I = 18; 2θ = 23.6°, I = 17; 2θ = 37.0°, I = 17

Structural model:
```
MgCr3Se2S4O24
1.0
8.4149 0.0000 0.0000
4.2060 7.3062 0.0000
4.1435 2.4065 7.5468
Mg Cr Se S O
1 3 2 4 24
direct
0.0000 0.0000 0.0000
0.3066 0.2925 0.1128
0.5054 0.4870 0.5028
0.7894 0.7850 0.6385
0.1936 0.8858 0.3144
0.8954 0.6013 0.3123
0.1109 0.3985 0.8183
0.4056 0.6708 0.8147
0.6123 0.1784 0.3174
0.6789 0.1009 0.8186
0.0299 0.8443 0.5118
0.1299 0.2017 0.8628
0.1308 0.4564 0.2659
0.1366 0.4276 0.9598
0.1631 0.1167 0.2665
0.1739 0.8457 0.1619
0.2073 0.8020 0.8578
0.2553 0.4498 0.6472
0.4131 0.7468 0.3354
0.4399 0.4775 0.9571
0.4607 0.6377 0.6458
0.4786 0.1575 0.2650
0.4873 0.1224 0.9622
0.5164 0.3687 0.3470
0.5371 0.7493 0.7997
0.6317 0.0245 0.4873
0.6478 0.2420 0.6484
0.7525 0.9059 0.8068
0.7675 0.4852 0.3382
0.7968 0.1641 0.1786
0.8125 0.1271 0.8575
0.8507 0.6126 0.5105
0.8512 0.8090 0.1580
0.9161 0.5342 0.8057
```

Structure and computed powder diffraction line list of LaFeMoO6 (DFT lattice parameters and positions (GGA+U); a wavelength of 1.5418 Å).

Peak list (8 most intense, 10° ≤ 2θ ≤ 90°, by intensity)
2θ = 32.3°, I = 100; 2θ = 19.7°, I = 54; 2θ = 46.4°, I = 53; 2θ = 19.6°, I = 53; 2θ = 38.2°, I = 28; 2θ = 38.0°, I = 26; 2θ = 32.2°, I = 24; 2θ = 32.5°, I = 24

Structural model:
```
LaFeMoO6
1.0
5.5168 0.0000 0.0000
0.0000 5.5654 0.0000
-5.5110 0.0000 7.8330
La Fe Mo O
2 2 2 12
direct
0.0000 0.2196 0.0000
0.0000 0.7804 0.5000
0.2523 0.2545 0.7495
0.2523 0.7455 0.2495
0.7543 0.2567 0.2496
0.7543 0.7433 0.7496
0.0404 0.2407 0.4919
0.0404 0.7593 0.9919
0.4395 0.2580 0.0023
0.4395 0.7420 0.5023
0.5127 0.0252 0.2702
0.5127 0.9748 0.7702
0.5747 0.4695 0.7794
0.5747 0.5305 0.2794
0.9550 0.0110 0.7213
0.9550 0.9890 0.2213
0.9961 0.4637 0.2135
0.9961 0.5363 0.7135
```